1.
La5Pr2Dy6: theoretical XRD peak list (Cu Kα), based on DFT lattice parameters and positions (PBE).
Intensities are scaled so that the largest is 100.

Most intense lines, 15° ≤ 2θ ≤ 90°, in order of falling intensity:
- d = 2.836 Å, I = 100, hkl 2 3 1
- d = 2.925 Å, I = 89, hkl 4 1 0
- d = 2.914 Å, I = 83, hkl 1 7 0
- d = 2.672 Å, I = 75, hkl 2 4 1
- d = 1.546 Å, I = 51, hkl 4 1 2
- d = 2.904 Å, I = 49, hkl 1 4 1
- d = 2.619 Å, I = 42, hkl 3 6 0
- d = 2.499 Å, I = 41, hkl 3 3 1
- d = 3.119 Å, I = 34, hkl 1 3 1
- d = 1.822 Å, I = 34, hkl 0 0 2

Structure:
Lattice parameters (Å, degrees): 11.8137 21.0463 3.6437 90.00 90.00 90.00
Atoms (fractional coordinates):
La 0.0000 0.0000 0.0000
La 0.0632 0.2883 0.0000
La 0.1979 0.5653 0.0000
La 0.3021 0.0653 0.0000
La 0.4368 0.7883 0.0000
La 0.5000 0.5000 0.0000
La 0.5632 0.2117 0.0000
La 0.6979 0.9347 0.0000
La 0.8021 0.4347 0.0000
La 0.9368 0.7117 0.0000
Pr 0.1944 0.7287 0.5000
Pr 0.3056 0.2287 0.5000
Pr 0.6944 0.7713 0.5000
Pr 0.8056 0.2713 0.5000
Dy 0.0618 0.1415 0.5000
Dy 0.0720 0.4321 0.5000
Dy 0.1900 0.8758 0.0000
Dy 0.3100 0.3758 0.0000
Dy 0.4280 0.9321 0.5000
Dy 0.4382 0.6415 0.5000
Dy 0.5618 0.3585 0.5000
Dy 0.5720 0.0679 0.5000
Dy 0.6900 0.6242 0.0000
Dy 0.8100 0.1242 0.0000
Dy 0.9280 0.5679 0.5000
Dy 0.9382 0.8585 0.5000

---

2.
Li3Sb5P6O24: theoretical XRD peak list (Cu Kα), based on DFT lattice parameters and positions (PBE).
Intensities are scaled so that the largest is 100.

Most intense lines, 15° ≤ 2θ ≤ 90°, in order of falling intensity:
- d = 3.216 Å, I = 100, hkl -2 1 2
- d = 2.700 Å, I = 64, hkl 2 1 0
- d = 3.193 Å, I = 54, hkl 1 2 -1
- d = 4.215 Å, I = 43, hkl 0 1 1
- d = 4.158 Å, I = 43, hkl 0 1 -2
- d = 4.064 Å, I = 39, hkl 2 0 -1
- d = 3.177 Å, I = 39, hkl 1 2 -2
- d = 4.132 Å, I = 37, hkl 0 2 -1
- d = 2.710 Å, I = 36, hkl 0 2 -3
- d = 5.055 Å, I = 36, hkl 1 -1 1

Structure:
Lattice parameters (Å, degrees): 8.6375 8.7782 8.7864 108.57 109.05 109.76
Atoms (fractional coordinates):
Li 0.0000 0.0000 0.0000
Li 0.1794 0.9424 0.7795
Li 0.4882 0.7140 0.3205
Sb 0.0222 0.5784 0.0648
Sb 0.3017 0.2154 0.5310
Sb 0.4961 0.7490 0.8708
Sb 0.6439 0.4144 0.2118
Sb 0.8056 0.2112 0.5366
P 0.1172 0.4885 0.4246
P 0.2352 0.3454 0.9167
P 0.3602 0.9698 0.1682
P 0.6132 0.1171 0.7976
P 0.7389 0.6016 0.6535
P 0.8533 0.8596 0.2827
O 0.0621 0.9850 0.4434
O 0.0909 0.4209 0.9036
O 0.1379 0.3152 0.4021
O 0.1481 0.1540 0.8940
O 0.1518 0.5370 0.2771
O 0.2281 0.0421 0.1971
O 0.2633 0.6596 0.6154
O 0.2757 0.3556 0.7574
O 0.3255 0.8015 0.2049
O 0.3447 0.9184 0.9772
O 0.4146 0.0898 0.7401
O 0.4205 0.4886 0.1021
O 0.5687 0.1335 0.3128
O 0.5813 0.5957 0.7071
O 0.6431 0.5578 0.4457
O 0.6446 0.9765 0.8604
O 0.6475 0.0773 0.6280
O 0.7245 0.8961 0.3581
O 0.7650 0.3132 0.9615
O 0.7670 0.4380 0.6655
O 0.8199 0.6569 0.2344
O 0.8258 0.8838 0.1126
O 0.9161 0.4420 0.3934
O 0.9202 0.7833 0.7712